For La2Ni5C3, the PBE geometry in Alexandria gives the calculated powder diffraction line list in this record (Cu Kα).
Lines closer than 0.1° are merged.

Structural model:
```
La2Ni5C3
1.0
8.3258 0.0000 0.0000
0.0000 8.3258 0.0000
0.0000 0.0000 4.0231
La Ni C
4 10 6
Direct
0.1614 0.3386 0.0000
0.3386 0.8386 0.0000
0.6614 0.1614 0.0000
0.8386 0.6614 0.0000
0.0000 0.0000 0.0000
0.0748 0.7870 0.5000
0.2130 0.0748 0.5000
0.2870 0.5748 0.5000
0.4252 0.2870 0.5000
0.5000 0.5000 0.0000
0.5748 0.7130 0.5000
0.7130 0.4252 0.5000
0.7870 0.9252 0.5000
0.9252 0.2130 0.5000
0.0000 0.0000 0.5000
0.0579 0.5579 0.5000
0.4421 0.0579 0.5000
0.5000 0.5000 0.5000
0.5579 0.9421 0.5000
0.9421 0.4421 0.5000
```

Largest 12 diffraction maxima, in order of falling intensity, 2θ from 10° to 90°:
| 2theta | I_rel |
| --- | --- |
| 32.77 | 100 |
| 40.97 | 49 |
| 44.89 | 32 |
| 45.07 | 24 |
| 37.87 | 22 |
| 23.90 | 21 |
| 65.50 | 19 |
| 71.99 | 13 |
| 77.08 | 11 |
| 34.05 | 11 |
| 48.92 | 10 |
| 75.33 | 8 |

For LaC2O6, the PBE geometry in Alexandria gives the calculated powder diffraction line list in this record (Cu Kα).
Lines closer than 0.1° are merged.

Structural model:
```
LaC2O6
1.0
0.0000 5.8229 3.5832
5.8088 0.0000 3.5832
5.8088 5.8229 0.0000
La C O
2 4 12
Direct
0.0000 0.0000 0.0000
0.2500 0.2500 0.2500
0.1254 0.6247 0.4375
0.4376 0.8125 0.6253
0.6247 0.1254 0.8124
0.8125 0.4376 0.1246
0.1245 0.8277 0.4143
0.1249 0.6256 0.2792
0.1270 0.4206 0.6147
0.2796 0.9708 0.6244
0.4123 0.6353 0.8294
0.4206 0.1270 0.8377
0.6164 0.8357 0.4223
0.6256 0.1249 0.9704
0.6353 0.4123 0.1230
0.8277 0.1245 0.6336
0.8357 0.6164 0.1255
0.9708 0.2796 0.1251
```

Largest 12 diffraction maxima, in order of falling intensity, 2θ from 10° to 90°:
| 2theta | I_rel |
| --- | --- |
| 16.41 | 100 |
| 27.25 | 74 |
| 42.97 | 57 |
| 29.28 | 43 |
| 30.75 | 33 |
| 21.61 | 23 |
| 41.55 | 23 |
| 45.26 | 22 |
| 47.30 | 18 |
| 63.22 | 15 |
| 39.27 | 13 |
| 55.99 | 13 |

For La2CO5, the PBE geometry in Alexandria gives the calculated powder diffraction line list in this record (Cu Kα).
Lines closer than 0.1° are merged.

Structural model:
```
La2CO5
1.0
16.0509 0.0000 0.0000
0.0000 3.5161 2.0694
0.0000 -3.5161 2.0694
La C O
4 2 10
Direct
0.0948 0.1669 0.8330
0.4052 0.1669 0.8330
0.5948 0.8330 0.1669
0.9052 0.8330 0.1669
0.2500 0.4252 0.3548
0.7500 0.3548 0.4252
0.0564 0.8336 0.1690
0.1784 0.5146 0.5275
0.2500 0.2379 0.9941
0.3216 0.5146 0.5275
0.4436 0.8336 0.1690
0.5564 0.1690 0.8336
0.6784 0.5275 0.5146
0.7500 0.9941 0.2379
0.8216 0.5275 0.5146
0.9436 0.1690 0.8336
```

Largest 12 diffraction maxima, in order of falling intensity, 2θ from 10° to 90°:
| 2theta | I_rel |
| --- | --- |
| 30.11 | 100 |
| 25.58 | 67 |
| 44.42 | 53 |
| 30.42 | 42 |
| 22.15 | 40 |
| 25.94 | 38 |
| 47.12 | 37 |
| 11.02 | 36 |
| 33.50 | 33 |
| 24.96 | 29 |
| 42.23 | 27 |
| 56.76 | 26 |

For LaPbC2O6, the PBE geometry in Alexandria gives the calculated powder diffraction line list in this record (Cu Kα).
Lines closer than 0.1° are merged.

Structural model:
```
LaPbC2O6
1.0
5.0345 -4.4895 0.0000
5.0345 4.4895 0.0000
-3.0003 0.0000 6.5127
La Pb C O
2 2 4 12
Direct
0.0989 0.9011 0.7500
0.9011 0.0989 0.2500
0.4543 0.5457 0.2500
0.5457 0.4543 0.7500
0.0847 0.3596 0.7750
0.3596 0.0847 0.2750
0.6404 0.9153 0.7250
0.9153 0.6404 0.2250
0.0401 0.7771 0.3795
0.1184 0.5361 0.7577
0.1730 0.3002 0.9370
0.2229 0.9599 0.1205
0.3002 0.1730 0.4370
0.4639 0.8816 0.7423
0.5361 0.1184 0.2577
0.6998 0.8270 0.5630
0.7771 0.0401 0.8795
0.8270 0.6998 0.0630
0.8816 0.4639 0.2423
0.9599 0.2229 0.6205
```

Largest 12 diffraction maxima, in order of falling intensity, 2θ from 10° to 90°:
| 2theta | I_rel |
| --- | --- |
| 27.18 | 100 |
| 19.41 | 99 |
| 27.39 | 80 |
| 26.12 | 57 |
| 19.78 | 51 |
| 27.85 | 49 |
| 32.98 | 48 |
| 42.63 | 46 |
| 24.08 | 43 |
| 34.64 | 40 |
| 44.51 | 40 |
| 31.45 | 28 |